Theoretical powder diffractogram of Cs2HgSbI6 for CuKα, from a structure optimized by DFT (PBE).
Intensities are scaled so that the largest is 100.

Most intense lines, 15° ≤ 2θ ≤ 90°, sorted by position:
20.28 deg, rel. 28.7; 24.91 deg, rel. 52.6; 28.84 deg, rel. 100.0; 32.33 deg, rel. 16.2; 35.52 deg, rel. 14.1; 41.24 deg, rel. 75.2; 48.78 deg, rel. 24.0; 51.10 deg, rel. 26.7; 67.67 deg, rel. 34.2; 75.18 deg, rel. 25.4

Structural model:
Cell lengths 12.3830, 12.3830, 12.3830 Å; angles 90.00, 90.00, 90.00 degrees
Space group Fm-3m (No. 225)
Asymmetric unit:
Cs: 0.2500 0.2500 0.2500
Hg: 0.0000 0.0000 0.0000
Sb: 0.0000 0.0000 0.5000
I: 0.0000 0.0000 0.2544